The following is a theoretical X-ray diffraction stick pattern of CaS5. It was derived from the GGA-PBE geometry in Alexandria, using copper Kα.
Neutral-atom scattering factors, no anomalous dispersion.

Cell and atoms:
```
data_CaS5
_chemical_formula_sum 'Ca2 S10'
_cell_length_a 4.129
_cell_length_b 7.736
_cell_length_c 10.007
_cell_angle_alpha 89.08
_cell_angle_beta 84.86
_cell_angle_gamma 86.87
_space_group_name_H-M_alt 'P -1'
_space_group_IT_number 2
_space_group_name_Hall '-P 1'
loop_
_atom_site_label
_atom_site_type_symbol
_atom_site_fract_x
_atom_site_fract_y
_atom_site_fract_z
_atom_site_occupancy
Ca1 Ca 0.059 0.257 0.030 1
S1 S 0.117 0.745 0.647 1
S2 S 0.119 0.025 0.402 1
S3 S 0.120 0.469 0.402 1
S4 S 0.416 0.540 0.100 1
S5 S 0.430 0.981 0.902 1
```

Top 10 peaks for 10 to 90 degrees two-theta, by angle:
(0 1 1), 14.43°, intensity 48; (0 1 -1), 14.59°, intensity 45; (0 0 2), 17.80°, intensity 100; (1 0 1), 22.67°, intensity 62; (0 0 3), 26.85°, intensity 37; (1 2 1), 31.60°, intensity 70; (1 -2 1), 33.45°, intensity 83; (1 0 -3), 36.26°, intensity 46; (1 2 -2), 37.04°, intensity 33; (0 4 0), 47.06°, intensity 35